(1)
Theoretical PXRD pattern
Compound: AlVTc
Radiation: Cu Ka
Structure: a PBE-relaxed structure

Main lines, by angle (2θ from 10° to 90°):
4.269 Å, rel. 26; 3.734 Å, rel. 36; 2.640 Å, rel. 17; 2.164 Å, rel. 96; 2.159 Å, rel. 51; 2.149 Å, rel. 100; 2.134 Å, rel. 45; 1.518 Å, rel. 29; 1.250 Å, rel. 22; 1.248 Å, rel. 19

a b c (Å): 5.0105 5.0105 5.2801
angles (deg): 120.92 120.92 51.06
Positions (direct):
Al1 0.0000 0.0000 0.0000
Al2 0.0000 0.0000 0.5000
V1 0.3365 0.3365 0.6358
V2 0.6635 0.6635 0.3642
Tc1 0.3344 0.3344 0.1558
Tc2 0.6656 0.6656 0.8442

***

(2)
Theoretical PXRD pattern
Compound: CaLa2DyS4
Radiation: Cu Ka
Structure: a PBE-relaxed structure

Main lines, by angle (2θ from 10° to 90°):
3.350 Å, rel. 16; 3.312 Å, rel. 15; 3.298 Å, rel. 30; 2.870 Å, rel. 100; 2.045 Å, rel. 12; 2.038 Å, rel. 24; 2.021 Å, rel. 24; 2.015 Å, rel. 12; 1.649 Å, rel. 12; 1.435 Å, rel. 11

a b c (Å): 7.0071 4.0295 7.0870
angles (deg): 90.00 109.02 90.00
Positions (direct):
Ca1 0.0000 0.0000 0.0000
La1 0.0000 0.5000 0.5000
La2 0.5000 0.0000 0.5000
Dy1 0.5000 0.5000 0.0000
S1 0.2477 0.5000 0.2337
S2 0.2585 0.0000 0.7689
S3 0.7415 0.0000 0.2311
S4 0.7523 0.5000 0.7663

***

(3)
Theoretical PXRD pattern
Compound: LiH3CO3
Radiation: Cu Ka
Structure: a PBE-relaxed structure

Main lines, by angle (2θ from 10° to 90°):
5.529 Å, rel. 16; 4.388 Å, rel. 35; 4.099 Å, rel. 21; 3.242 Å, rel. 100; 3.123 Å, rel. 64; 3.098 Å, rel. 50; 2.847 Å, rel. 18; 2.608 Å, rel. 19; 2.411 Å, rel. 17; 2.184 Å, rel. 29

a b c (Å): 6.4846 10.5806 4.8226
angles (deg): 90.00 90.00 90.00
Positions (direct):
Li1 0.1043 0.0649 0.0000
Li2 0.3957 0.5649 0.5000
Li3 0.6043 0.4351 0.0000
Li4 0.8957 0.9351 0.5000
H1 0.0117 0.5238 0.3952
H2 0.0348 0.2868 0.6103
H3 0.0349 0.6399 0.6094
H4 0.4651 0.1399 0.1094
H5 0.4652 0.7868 0.1103
H6 0.4883 0.0238 0.8952
H7 0.5117 0.9762 0.3952
H8 0.5348 0.2132 0.6103
H9 0.5349 0.8601 0.6094
H10 0.9651 0.3601 0.1094
H11 0.9652 0.7132 0.1103
H12 0.9883 0.4762 0.8952
C1 0.0287 0.1994 0.4827
C2 0.4713 0.6994 0.9827
C3 0.5287 0.3006 0.4827
C4 0.9713 0.8006 0.9827
O1 0.0191 0.2125 0.2220
O2 0.0323 0.0946 0.6111
O3 0.0860 0.5525 0.5635
O4 0.4140 0.0525 0.0635
O5 0.4677 0.5946 0.1111
O6 0.4809 0.7125 0.7220
O7 0.5191 0.2875 0.2220
O8 0.5323 0.4054 0.6111
O9 0.5860 0.9475 0.5635
O10 0.9140 0.4475 0.0635
O11 0.9677 0.9054 0.1111
O12 0.9809 0.7875 0.7220

***

(4)
Theoretical PXRD pattern
Compound: TlAgF3
Radiation: Cu Ka
Structure: a PBE-relaxed structure

Main lines, by angle (2θ from 10° to 90°):
4.298 Å, rel. 35; 4.051 Å, rel. 26; 3.960 Å, rel. 100; 3.918 Å, rel. 45; 3.664 Å, rel. 39; 3.445 Å, rel. 40; 2.857 Å, rel. 35; 2.610 Å, rel. 37; 2.545 Å, rel. 41; 1.867 Å, rel. 30

a b c (Å): 5.3848 5.9851 6.0413
angles (deg): 86.65 89.73 74.99
Positions (direct):
Tl1 0.0000 0.0000 0.0000
Tl2 0.4926 0.2207 0.5004
Ag1 0.5240 0.6403 0.2815
Ag2 0.6935 0.5441 0.7188
F1 0.0981 0.2051 0.7109
F2 0.2708 0.6761 0.9378
F3 0.2838 0.0340 0.2604
F4 0.6940 0.9202 0.7830
F5 0.7616 0.3420 0.0710
F6 0.8153 0.8764 0.2947

***

(5)
Theoretical PXRD pattern
Compound: Pm8Ge2Bi
Radiation: Cu Ka
Structure: a PBE-relaxed structure

Main lines, by angle (2θ from 10° to 90°):
3.181 Å, rel. 23; 2.995 Å, rel. 71; 2.889 Å, rel. 100; 2.734 Å, rel. 71; 2.608 Å, rel. 30; 2.556 Å, rel. 23; 2.454 Å, rel. 20; 2.417 Å, rel. 20; 2.350 Å, rel. 53; 1.536 Å, rel. 19

a b c (Å): 10.4546 10.4546 7.3427
angles (deg): 104.05 104.05 25.99
Positions (direct):
Pm1 0.0375 0.0375 0.2565
Pm2 0.2159 0.2159 0.8384
Pm3 0.3311 0.3311 0.5061
Pm4 0.3972 0.3972 0.0250
Pm5 0.6028 0.6028 0.9750
Pm6 0.6689 0.6689 0.4939
Pm7 0.7841 0.7841 0.1616
Pm8 0.9625 0.9625 0.7435
Ge1 0.1864 0.1864 0.2410
Ge2 0.8136 0.8136 0.7590
Bi1 0.5000 0.5000 0.5000

***

(6)
Theoretical PXRD pattern
Compound: CsMg4Tl2
Radiation: Cu Ka
Structure: a PBE-relaxed structure

Main lines, by angle (2θ from 10° to 90°):
4.744 Å, rel. 26; 3.837 Å, rel. 41; 3.532 Å, rel. 86; 3.253 Å, rel. 100; 3.106 Å, rel. 71; 2.830 Å, rel. 32; 2.599 Å, rel. 43; 1.919 Å, rel. 32; 1.913 Å, rel. 32; 1.885 Å, rel. 35

a b c (Å): 10.8222 10.8222 4.7443
angles (deg): 90.00 90.00 155.60
Positions (direct):
Cs1 0.0000 0.0000 0.0000
Mg1 0.2016 0.7984 0.5000
Mg2 0.3027 0.6973 0.0000
Mg3 0.6973 0.3027 0.0000
Mg4 0.7984 0.2016 0.5000
Tl1 0.3933 0.6067 0.5000
Tl2 0.6067 0.3933 0.5000

***

(7)
Theoretical PXRD pattern
Compound: Al8NiPd2
Radiation: Cu Ka
Structure: a PBE-relaxed structure

Main lines, by angle (2θ from 10° to 90°):
5.023 Å, rel. 22; 3.877 Å, rel. 39; 3.807 Å, rel. 93; 3.072 Å, rel. 43; 2.225 Å, rel. 24; 2.192 Å, rel. 100; 2.185 Å, rel. 49; 2.096 Å, rel. 67; 2.034 Å, rel. 26; 1.263 Å, rel. 36

a b c (Å): 6.7113 6.7113 6.7113
angles (deg): 142.01 109.42 83.08
Positions (direct):
Al1 0.1308 0.1308 0.0000
Al2 0.1382 0.3528 0.7853
Al3 0.3223 0.0000 0.3223
Al4 0.4325 0.6472 0.7853
Al5 0.5675 0.3528 0.2147
Al6 0.6777 0.0000 0.6777
Al7 0.8618 0.6472 0.2147
Al8 0.8692 0.8692 0.0000
Ni1 0.0000 0.5000 0.5000
Pd1 0.2823 0.7823 0.5000
Pd2 0.7177 0.2177 0.5000

***

(8)
Theoretical PXRD pattern
Compound: LuBeSi
Radiation: Cu Ka
Structure: a PBE-relaxed structure

Main lines, by angle (2θ from 10° to 90°):
3.916 Å, rel. 26; 3.308 Å, rel. 68; 2.527 Å, rel. 100; 1.910 Å, rel. 26; 1.717 Å, rel. 17; 1.685 Å, rel. 20; 1.524 Å, rel. 21; 1.367 Å, rel. 17; 1.214 Å, rel. 10; 1.191 Å, rel. 19

a b c (Å): 3.8196 3.8196 3.9162
angles (deg): 90.00 90.00 120.00
Positions (direct):
Lu1 0.0000 0.0000 0.0000
Be1 0.3333 0.6667 0.5000
Si1 0.6667 0.3333 0.5000

***

(9)
Theoretical PXRD pattern
Compound: La2Er6Tm
Radiation: Cu Ka
Structure: a PBE-relaxed structure

Main lines, by angle (2θ from 10° to 90°):
2.830 Å, rel. 87; 2.820 Å, rel. 100; 2.189 Å, rel. 14; 1.998 Å, rel. 32; 1.630 Å, rel. 33; 1.628 Å, rel. 19; 1.479 Å, rel. 28; 1.410 Å, rel. 12; 1.262 Å, rel. 12; 1.188 Å, rel. 9

a b c (Å): 9.7712 9.7712 3.4728
angles (deg): 90.07 90.07 59.98
Positions (direct):
La1 0.1667 0.1667 0.0001
La2 0.8333 0.8333 0.9999
Er1 0.1707 0.5000 0.4999
Er2 0.1705 0.8295 0.5000
Er3 0.5000 0.1707 0.4999
Er4 0.5000 0.8293 0.5001
Er5 0.8295 0.1705 0.5000
Er6 0.8293 0.5000 0.5001
Tm1 0.5000 0.5000 0.0000

***

(10)
Theoretical PXRD pattern
Compound: SrGa2IrRu
Radiation: Cu Ka
Structure: a PBE-relaxed structure

Main lines, by angle (2θ from 10° to 90°):
5.281 Å, rel. 43; 3.995 Å, rel. 14; 2.728 Å, rel. 36; 2.642 Å, rel. 100; 2.158 Å, rel. 52; 1.997 Å, rel. 50; 1.692 Å, rel. 17; 1.525 Å, rel. 38; 1.321 Å, rel. 30; 1.212 Å, rel. 14

a b c (Å): 6.0995 6.0995 6.0995
angles (deg): 138.56 138.56 60.04
Positions (direct):
Sr1 0.0000 0.0000 0.0000
Ga1 0.3689 0.3689 0.0000
Ga2 0.6311 0.6311 0.0000
Ir1 0.7500 0.2500 0.5000
Ru1 0.2500 0.7500 0.5000

***

(11)
Theoretical PXRD pattern
Compound: Ac2Tl3Hg3
Radiation: Cu Ka
Structure: a PBE-relaxed structure

Main lines, by angle (2θ from 10° to 90°):
2.774 Å, rel. 100; 2.753 Å, rel. 97; 1.954 Å, rel. 37; 1.601 Å, rel. 20; 1.597 Å, rel. 39; 1.585 Å, rel. 18; 1.387 Å, rel. 12; 1.376 Å, rel. 11; 1.238 Å, rel. 17; 1.233 Å, rel. 16

a b c (Å): 9.5119 9.5119 9.5119
angles (deg): 33.91 33.91 33.91
Positions (direct):
Ac1 0.0000 0.0000 0.0000
Ac2 0.4933 0.4933 0.4933
Tl1 0.2482 0.2482 0.2482
Tl2 0.7451 0.7451 0.7451
Tl3 0.8720 0.8720 0.8720
Hg1 0.1242 0.1242 0.1242
Hg2 0.3701 0.3701 0.3701
Hg3 0.6202 0.6202 0.6202